1.
The following is a simulated X-ray diffraction stick pattern of Nd4AsI5. It was derived from a crystal structure in Alexandria, relaxed with GGA-PBE, using a wavelength of 1.5418 Å.
Peak positions follow from Bragg's law for the DFT cell and can differ from measured ones.

```
Nd4AsI5
1.0
9.7920 -2.1515 0.0000
9.7920 2.1515 0.0000
-1.9949 0.0000 8.8411
Nd As I
4 1 5
Cartesian
19.1488 0.0000 1.8886
-1.5597 0.0000 6.9525
5.0517 0.0000 8.1917
12.5373 0.0000 0.6494
9.7920 0.0000 0.0000
2.5787 0.0000 2.9925
1.7119 0.0000 7.2832
8.7945 0.0000 4.4205
15.8771 0.0000 1.5579
15.0103 0.0000 5.8486
```

Top 12 peaks for 10 to 90 degrees two-theta, sorted by position:
Position (°2θ), d_spacing, I_rel
10.00, 8.841, 233
25.77, 3.458, 102
28.04, 3.182, 600
28.61, 3.120, 1000
31.30, 2.858, 107
31.96, 2.800, 89
39.79, 2.266, 176
40.31, 2.237, 351
40.65, 2.220, 338
41.99, 2.151, 185
51.25, 1.783, 190
59.23, 1.560, 108

2.
The following is a simulated X-ray diffraction stick pattern of Nd6As3P2I. It was derived from a crystal structure in Alexandria, relaxed with GGA-PBE, using a wavelength of 1.5418 Å.
Peak positions follow from Bragg's law for the DFT cell and can differ from measured ones.

```
Nd6As3P2I
1.0
9.2905 -2.1297 0.0000
9.2905 2.1297 0.0000
-1.9052 0.0000 8.4142
Nd As P I
6 3 2 1
Cartesian
-0.4440 0.0000 2.3520
4.2685 0.0000 7.5832
5.3467 0.0000 3.5397
11.3291 0.0000 4.8745
12.4073 0.0000 0.8311
17.1198 0.0000 6.0622
1.4115 0.0000 7.0276
8.3379 0.0000 4.2071
15.2644 0.0000 1.3866
2.4788 0.0000 2.8058
14.1970 0.0000 5.6085
9.2905 0.0000 0.0000
```

Top 12 peaks for 10 to 90 degrees two-theta, sorted by position:
Position (°2θ), d_spacing, I_rel
25.56, 3.484, 252
29.47, 3.031, 1000
29.58, 3.020, 484
41.89, 2.157, 175
42.06, 2.148, 341
42.43, 2.130, 555
51.80, 1.765, 80
52.42, 1.746, 93
52.58, 1.741, 191
61.16, 1.515, 113
69.69, 1.349, 164
77.44, 1.232, 121

3.
The following is a simulated X-ray diffraction stick pattern of Nd8Si3AsI4. It was derived from a crystal structure in Alexandria, relaxed with GGA-PBE, using a wavelength of 1.5418 Å.
Peak positions follow from Bragg's law for the DFT cell and can differ from measured ones.

```
Nd8Si3AsI4
1.0
7.4867 -4.3224 0.0000
7.4867 4.3224 0.0000
-4.9934 0.0000 7.7411
Nd Si As I
8 3 1 4
Cartesian
3.7263 2.1920 5.3869
0.0035 0.0000 5.3945
2.4584 0.0000 2.3570
6.2536 2.1920 2.3542
3.7263 -2.1920 5.3869
7.5216 0.0000 5.3841
9.9765 0.0000 2.3466
6.2536 -2.1920 2.3542
-2.4967 0.0000 3.8706
1.2466 2.1612 3.8706
1.2466 -2.1612 3.8706
4.9900 0.0000 3.8706
0.0000 0.0000 0.0000
3.7433 2.1612 0.0000
3.7433 -2.1612 0.0000
7.4867 0.0000 0.0000
```

Top 12 peaks for 10 to 90 degrees two-theta, sorted by position:
Position (°2θ), d_spacing, I_rel
24.08, 3.696, 112
24.99, 3.563, 97
28.37, 3.146, 1000
30.67, 2.915, 255
34.77, 2.580, 117
39.27, 2.294, 272
41.80, 2.161, 396
51.29, 1.781, 191
55.46, 1.657, 182
57.13, 1.612, 107
58.69, 1.573, 83
68.23, 1.375, 161

4.
The following is a simulated X-ray diffraction stick pattern of As2Pd4I5. It was derived from a crystal structure in Alexandria, relaxed with GGA-PBE, using a wavelength of 1.5418 Å.
Peak positions follow from Bragg's law for the DFT cell and can differ from measured ones.

```
As2Pd4I5
1.0
11.8880 -1.9460 0.0000
11.8880 1.9460 0.0000
-1.1176 0.0000 7.2022
As Pd I
2 4 5
Cartesian
0.9675 0.0000 0.8186
21.6909 0.0000 6.3837
3.6719 0.0000 0.5804
11.2073 0.0000 1.2070
11.4510 0.0000 5.9952
18.9864 0.0000 6.6218
-0.5588 0.0000 3.6011
6.4048 0.0000 4.8977
8.3818 0.0000 1.2797
14.2765 0.0000 5.9226
16.2535 0.0000 2.3045
```

Top 12 peaks for 10 to 90 degrees two-theta, sorted by position:
Position (°2θ), d_spacing, I_rel
12.29, 7.202, 466
17.96, 4.938, 497
22.71, 3.916, 605
24.15, 3.686, 250
29.22, 3.057, 753
33.69, 2.660, 1000
38.44, 2.342, 290
39.45, 2.284, 219
41.01, 2.201, 491
45.19, 2.007, 528
46.68, 1.946, 278
49.08, 1.856, 197

5.
The following is a simulated X-ray diffraction stick pattern of AsPd2I3. It was derived from a crystal structure in Alexandria, relaxed with GGA-PBE, using a wavelength of 1.5418 Å.
Peak positions follow from Bragg's law for the DFT cell and can differ from measured ones.

```
AsPd2I3
1.0
9.5960 -1.9465 0.0000
9.5960 1.9465 0.0000
-9.4205 0.0000 9.9172
As Pd I
2 4 6
Cartesian
1.4290 0.0000 0.0936
8.3424 0.0000 9.8236
-0.2127 0.0000 2.0364
-2.8737 0.0000 9.3091
12.6451 0.0000 0.6081
9.9841 0.0000 7.8808
-1.7050 0.0000 6.9185
4.9453 0.0000 1.6351
1.8054 0.0000 6.3763
7.9661 0.0000 3.5409
4.8261 0.0000 8.2821
11.4764 0.0000 2.9987
```

Top 12 peaks for 10 to 90 degrees two-theta, sorted by position:
Position (°2θ), d_spacing, I_rel
12.72, 6.957, 338
26.99, 3.303, 665
27.17, 3.282, 1000
29.97, 2.982, 377
32.62, 2.745, 273
33.18, 2.700, 836
35.38, 2.537, 940
42.79, 2.113, 584
46.39, 1.957, 341
46.66, 1.947, 437
47.58, 1.911, 727
58.45, 1.579, 310

6.
The following is a simulated X-ray diffraction stick pattern of As2PdI6. It was derived from a crystal structure in Alexandria, relaxed with GGA-PBE, using a wavelength of 1.5418 Å.
Peak positions follow from Bragg's law for the DFT cell and can differ from measured ones.

```
As2PdI6
1.0
3.9316 2.2699 7.2795
-3.9316 2.2699 7.2795
0.0000 -4.5398 7.2795
As Pd I
2 1 6
Cartesian
0.0000 0.0000 0.0000
0.0000 0.0000 2.6304
0.0000 0.0000 8.5790
-1.1345 -2.0046 6.9327
-2.3075 0.0088 10.2229
-1.1688 1.9848 6.9327
1.1461 -2.0027 10.2229
2.3033 0.0198 6.9327
1.1614 1.9939 10.2229
```

Top 12 peaks for 10 to 90 degrees two-theta, sorted by position:
Position (°2θ), d_spacing, I_rel
12.16, 7.280, 208
13.62, 6.501, 214
15.33, 5.778, 110
24.46, 3.640, 250
25.75, 3.459, 1000
33.55, 2.671, 196
38.68, 2.328, 80
39.71, 2.270, 316
43.84, 2.065, 194
47.19, 1.926, 166
47.93, 1.898, 114
63.94, 1.456, 91

7.
The following is a simulated X-ray diffraction stick pattern of Rb2AsPdI6. It was derived from a crystal structure in Alexandria, relaxed with GGA-PBE, using a wavelength of 1.5418 Å.
Peak positions follow from Bragg's law for the DFT cell and can differ from measured ones.

```
Rb2AsPdI6
1.0
-4.0832 4.0832 5.7272
4.0832 -4.0832 5.7272
4.0832 4.0832 -5.7272
Rb As Pd I
2 1 1 6
Cartesian
4.0832 0.0000 2.8636
0.0000 4.0832 2.8636
0.0000 0.0000 0.0000
0.0000 0.0000 5.7272
2.0661 2.0661 0.0000
2.0171 -2.0171 5.7272
0.0000 0.0000 2.9074
0.0000 0.0000 8.5470
-2.0171 2.0171 5.7272
2.0171 2.0171 5.7272
```

Top 12 peaks for 10 to 90 degrees two-theta, sorted by position:
Position (°2θ), d_spacing, I_rel
15.34, 5.775, 244
26.81, 3.325, 1000
30.97, 2.887, 776
31.23, 2.864, 379
34.77, 2.580, 127
44.37, 2.042, 283
44.56, 2.033, 558
52.61, 1.740, 300
52.95, 1.729, 147
55.26, 1.662, 292
73.32, 1.291, 126
81.83, 1.177, 189

8.
The following is a simulated X-ray diffraction stick pattern of PmAsI. It was derived from a crystal structure in Alexandria, relaxed with GGA-PBE, using a wavelength of 1.5418 Å.
Peak positions follow from Bragg's law for the DFT cell and can differ from measured ones.

```
PmAsI
1.0
5.1631 0.0000 0.0000
0.0023 5.8860 0.0000
2.4896 1.8904 9.3456
Pm As I
2 2 2
Cartesian
1.2906 1.4479 0.6965
6.3644 6.3285 8.6492
1.2929 4.3802 0.6251
6.3621 3.3963 8.7205
1.2641 5.8776 3.4179
6.3908 1.8988 5.9277
```

Top 12 peaks for 10 to 90 degrees two-theta, sorted by position:
Position (°2θ), d_spacing, I_rel
15.36, 5.769, 282
17.82, 4.976, 1000
18.99, 4.673, 244
21.98, 4.044, 246
22.98, 3.871, 277
28.69, 3.111, 257
30.99, 2.885, 228
33.10, 2.706, 392
34.30, 2.614, 234
34.75, 2.581, 421
37.78, 2.381, 330
38.10, 2.362, 355

9.
The following is a simulated X-ray diffraction stick pattern of PmAs2I8. It was derived from a crystal structure in Alexandria, relaxed with GGA-PBE, using a wavelength of 1.5418 Å.
Peak positions follow from Bragg's law for the DFT cell and can differ from measured ones.

```
PmAs2I8
1.0
6.9612 -5.5832 0.0000
6.9612 5.5832 0.0000
-2.2792 0.0000 7.5792
Pm As I
1 2 8
Cartesian
0.0000 0.0000 0.0000
0.9608 0.0000 4.6196
10.6824 0.0000 2.9597
5.3999 3.4545 1.5819
2.3282 0.0000 2.1829
6.2433 3.4545 5.9973
3.0203 0.0000 6.1231
8.6229 0.0000 1.4561
5.3999 -3.4545 1.5819
9.3149 0.0000 5.3963
6.2433 -3.4545 5.9973
```

Top 12 peaks for 10 to 90 degrees two-theta, sorted by position:
Position (°2θ), d_spacing, I_rel
10.33, 8.561, 889
15.87, 5.583, 385
20.75, 4.280, 437
21.88, 4.063, 1000
23.47, 3.790, 390
25.92, 3.438, 266
27.22, 3.276, 759
28.42, 3.141, 978
37.99, 2.368, 326
45.49, 1.994, 297
48.66, 1.871, 282
63.55, 1.464, 276

10.
The following is a simulated X-ray diffraction stick pattern of Pm6As2Se3I. It was derived from a crystal structure in Alexandria, relaxed with GGA-PBE, using a wavelength of 1.5418 Å.
Peak positions follow from Bragg's law for the DFT cell and can differ from measured ones.

```
Pm6As2Se3I
1.0
9.2651 -2.1281 0.0000
9.2651 2.1281 0.0000
-1.8514 0.0000 8.3670
Pm As Se I
6 2 3 1
Cartesian
-0.4018 0.0000 2.3826
4.2545 0.0000 7.4943
5.3498 0.0000 3.5303
11.3289 0.0000 4.8366
12.4243 0.0000 0.8727
17.0806 0.0000 5.9844
2.4894 0.0000 2.7924
14.1894 0.0000 5.5746
1.3940 0.0000 6.9937
8.3394 0.0000 4.1835
15.2848 0.0000 1.3733
9.2651 0.0000 0.0000
```

Top 12 peaks for 10 to 90 degrees two-theta, sorted by position:
Position (°2θ), d_spacing, I_rel
25.64, 3.474, 94
29.60, 3.018, 1000
42.14, 2.144, 336
42.48, 2.128, 131
42.60, 2.122, 246
52.64, 1.739, 128
52.81, 1.734, 62
61.41, 1.510, 75
69.33, 1.355, 76
69.84, 1.347, 57
70.00, 1.344, 54
77.78, 1.228, 77

11.
The following is a simulated X-ray diffraction stick pattern of Pr4AsRuI2. It was derived from a crystal structure in Alexandria, relaxed with GGA-PBE, using a wavelength of 1.5418 Å.
Peak positions follow from Bragg's law for the DFT cell and can differ from measured ones.

```
Pr4AsRuI2
1.0
7.6977 0.0000 0.0000
0.0000 4.2222 0.0000
-2.2703 0.0000 7.9595
Pr As Ru I
4 1 1 2
Cartesian
1.2394 0.0000 1.5016
0.0658 2.1111 6.4809
5.3616 2.1111 1.4786
4.1880 0.0000 6.4579
3.8489 0.0000 0.0000
0.0000 2.1111 0.0000
-1.1352 0.0000 3.9798
2.7137 2.1111 3.9798
```

Top 12 peaks for 10 to 90 degrees two-theta, sorted by position:
Position (°2θ), d_spacing, I_rel
11.12, 7.960, 75
28.11, 3.174, 1000
30.83, 2.901, 114
33.78, 2.653, 86
35.47, 2.531, 59
37.45, 2.402, 100
39.11, 2.303, 158
41.19, 2.192, 264
42.84, 2.111, 126
49.24, 1.851, 69
51.99, 1.759, 126
58.18, 1.586, 55

12.
The following is a simulated X-ray diffraction stick pattern of Rb2AsI5. It was derived from a crystal structure in Alexandria, relaxed with GGA-PBE, using a wavelength of 1.5418 Å.
Peak positions follow from Bragg's law for the DFT cell and can differ from measured ones.

```
Rb2AsI5
1.0
8.7197 0.0000 0.0000
0.0000 8.7197 0.0000
0.0000 0.0000 10.2747
Rb As I
4 2 10
Cartesian
0.0000 4.3598 0.0000
0.0000 4.3598 5.1373
4.3598 0.0000 0.0000
4.3598 0.0000 5.1373
0.0000 0.0000 2.8515
4.3598 4.3598 7.9888
0.0000 0.0000 5.4513
2.0355 2.0355 2.5501
2.0355 6.6842 2.5501
2.3244 2.3244 7.6874
2.3244 6.3953 7.6874
4.3598 4.3598 0.3140
6.3953 2.3244 7.6874
6.3953 6.3953 7.6874
6.6842 2.0355 2.5501
6.6842 6.6842 2.5501
```

Top 12 peaks for 10 to 90 degrees two-theta, sorted by position:
Position (°2θ), d_spacing, I_rel
13.32, 6.648, 307
17.26, 5.137, 120
24.42, 3.646, 95
26.82, 3.324, 1000
28.96, 3.083, 601
34.92, 2.569, 194
41.42, 2.180, 213
45.98, 1.974, 375
50.04, 1.823, 310
55.27, 1.662, 162
57.85, 1.594, 103
78.78, 1.215, 112

13.
The following is a simulated X-ray diffraction stick pattern of Rb2AsI7. It was derived from a crystal structure in Alexandria, relaxed with GGA-PBE, using a wavelength of 1.5418 Å.
Peak positions follow from Bragg's law for the DFT cell and can differ from measured ones.

```
Rb2AsI7
1.0
-4.4189 4.4189 5.9842
4.4189 -4.4189 5.9842
4.4189 4.4189 -5.9842
Rb As I
2 1 7
Cartesian
4.4189 0.0000 2.9921
0.0000 4.4189 2.9921
0.0000 0.0000 0.0000
2.0283 2.0283 0.0000
2.3906 -2.3906 5.9842
0.0000 0.0000 2.8515
0.0000 0.0000 5.9842
0.0000 0.0000 9.1168
-2.3906 2.3906 5.9842
2.3906 2.3906 5.9842
```

Top 12 peaks for 10 to 90 degrees two-theta, sorted by position:
Position (°2θ), d_spacing, I_rel
14.17, 6.249, 323
14.80, 5.984, 141
25.05, 3.555, 1000
28.57, 3.125, 867
29.86, 2.992, 401
40.84, 2.209, 306
41.80, 2.161, 597
48.51, 1.877, 268
50.18, 1.818, 137
51.41, 1.777, 304
69.69, 1.349, 122
75.02, 1.266, 166

14.
The following is a simulated X-ray diffraction stick pattern of RbAs2I8. It was derived from a crystal structure in Alexandria, relaxed with GGA-PBE, using a wavelength of 1.5418 Å.
Peak positions follow from Bragg's law for the DFT cell and can differ from measured ones.

```
RbAs2I8
1.0
7.8616 -6.1938 0.0000
7.8616 6.1938 0.0000
-1.6901 0.0000 6.8577
Rb As I
1 2 8
Cartesian
0.0000 0.0000 0.0000
2.3864 0.0000 4.7407
11.6468 0.0000 2.1170
5.3615 4.0386 1.8003
3.1996 0.0000 2.2090
8.6717 4.0386 5.0573
4.6636 0.0000 6.3434
9.3696 0.0000 0.5143
5.3615 -4.0386 1.8003
10.8336 0.0000 4.6487
8.6717 -4.0386 5.0573
```

Top 12 peaks for 10 to 90 degrees two-theta, sorted by position:
Position (°2θ), d_spacing, I_rel
11.59, 7.633, 312
14.30, 6.194, 514
14.69, 6.030, 358
19.35, 4.586, 695
20.90, 4.250, 1000
22.30, 3.986, 296
25.19, 3.535, 544
25.81, 3.452, 302
27.45, 3.249, 290
32.75, 2.735, 281
35.61, 2.521, 277
36.60, 2.455, 323